Diffraction record for HoZrInOs. The X-ray diffraction stick pattern is theoretical, not measured: it uses a crystal structure in Alexandria, relaxed with PBE and Cu Kα (λ = 1.5418 Å).
No peak broadening, texture or thermal motion is included.

Crystal structure
```
HoZrInOs
1.0
3.3127 0.0000 0.0000
0.0000 3.3127 0.0000
0.0000 0.0000 7.8640
Ho Zr In Os
1 1 1 1
Direct
0.0000 0.0000 0.0000 Ho
0.0000 0.0000 0.5738 Zr
0.5000 0.5000 0.3015 In
0.5000 0.5000 0.7678 Os
```

Peak list (10 most intense, 10 to 90 degrees two-theta, low angle first)
| 2θ/deg | I/Imax |
| --- | --- |
| 11.25 | 23 |
| 29.25 | 6 |
| 35.43 | 100 |
| 38.43 | 45 |
| 44.05 | 10 |
| 46.17 | 8 |
| 55.48 | 15 |
| 61.59 | 14 |
| 67.57 | 30 |
| 74.98 | 8 |

---

Diffraction record for Ho6InP2Se3. The X-ray diffraction stick pattern is theoretical, not measured: it uses a crystal structure in Alexandria, relaxed with PBE and Cu Kα (λ = 1.5418 Å).
No peak broadening, texture or thermal motion is included.

Crystal structure
```
Ho6InP2Se3
1.0
8.9418 -2.0119 0.0000
8.9418 2.0119 0.0000
-1.9396 0.0000 8.0971
Ho In P Se
6 1 2 3
Direct
0.0057 0.0057 0.2633 Ho
0.3271 0.3271 0.4286 Ho
0.3296 0.3296 0.8971 Ho
0.6704 0.6704 0.1029 Ho
0.6729 0.6729 0.5714 Ho
0.9943 0.9943 0.7367 Ho
0.5000 0.5000 0.0000 In
0.1684 0.1684 0.3373 P
0.8316 0.8316 0.6627 P
0.1663 0.1663 0.8310 Se
0.5000 0.5000 0.5000 Se
0.8337 0.8337 0.1690 Se
```

Peak list (10 most intense, 10 to 90 degrees two-theta, low angle first)
| 2θ/deg | I/Imax |
| --- | --- |
| 26.36 | 15 |
| 26.97 | 15 |
| 30.89 | 100 |
| 43.47 | 13 |
| 44.23 | 48 |
| 45.06 | 12 |
| 54.25 | 12 |
| 55.61 | 13 |
| 73.02 | 10 |
| 73.11 | 10 |

---

Diffraction record for HoPaIn. The X-ray diffraction stick pattern is theoretical, not measured: it uses a crystal structure in Alexandria, relaxed with PBE and Cu Kα (λ = 1.5418 Å).
No peak broadening, texture or thermal motion is included.

Crystal structure
```
HoPaIn
1.0
5.3441 0.0000 0.0000
-2.6721 4.6282 0.0000
0.0000 0.0000 3.0936
Ho Pa In
1 1 1
Direct
0.0000 0.0000 0.0000 Ho
0.6667 0.3333 0.9966 Pa
0.3333 0.6667 0.4973 In
```

Peak list (10 most intense, 10 to 90 degrees two-theta, low angle first)
| 2θ/deg | I/Imax |
| --- | --- |
| 19.18 | 13 |
| 28.86 | 14 |
| 33.54 | 100 |
| 34.88 | 70 |
| 44.82 | 26 |
| 49.17 | 27 |
| 59.96 | 19 |
| 60.83 | 28 |
| 70.32 | 24 |
| 89.78 | 13 |

---

Diffraction record for Ho7In2Pb2. The X-ray diffraction stick pattern is theoretical, not measured: it uses a crystal structure in Alexandria, relaxed with PBE and Cu Kα (λ = 1.5418 Å).
No peak broadening, texture or thermal motion is included.

Crystal structure
```
Ho7In2Pb2
1.0
3.9053 -5.6363 0.0000
3.9053 5.6363 0.0000
0.0000 0.0000 7.9156
Ho In Pb
7 2 2
Direct
0.0000 0.0000 0.0000 Ho
0.0000 0.5000 0.2905 Ho
0.0000 0.5000 0.7095 Ho
0.5000 0.0000 0.2905 Ho
0.5000 0.0000 0.7095 Ho
0.5000 0.5000 0.2383 Ho
0.5000 0.5000 0.7617 Ho
0.2835 0.7165 0.0000 In
0.7165 0.2835 0.0000 In
0.1939 0.1939 0.5000 Pb
0.8061 0.8061 0.5000 Pb
```

Peak list (10 most intense, 10 to 90 degrees two-theta, low angle first)
| 2θ/deg | I/Imax |
| --- | --- |
| 25.43 | 63 |
| 26.46 | 47 |
| 27.54 | 23 |
| 27.79 | 24 |
| 31.75 | 65 |
| 34.87 | 41 |
| 36.02 | 100 |
| 37.64 | 27 |
| 41.11 | 30 |
| 63.44 | 22 |

---

Diffraction record for Ho2InPb2. The X-ray diffraction stick pattern is theoretical, not measured: it uses a crystal structure in Alexandria, relaxed with PBE and Cu Kα (λ = 1.5418 Å).
No peak broadening, texture or thermal motion is included.

Crystal structure
```
Ho2InPb2
1.0
5.0663 0.0000 0.0000
0.0000 17.3045 0.0000
0.0000 0.0000 3.5884
Ho In Pb
4 2 4
Direct
0.0022 0.1804 0.0000 Ho
0.4978 0.6804 0.0000 Ho
0.5022 0.3196 0.0000 Ho
0.9978 0.8196 0.0000 Ho
0.0000 0.0000 0.0000 In
0.5000 0.5000 0.0000 In
0.0021 0.3614 0.5000 Pb
0.4979 0.8614 0.5000 Pb
0.5021 0.1386 0.5000 Pb
0.9979 0.6386 0.5000 Pb
```

Peak list (10 most intense, 10 to 90 degrees two-theta, low angle first)
| 2θ/deg | I/Imax |
| --- | --- |
| 10.22 | 23 |
| 20.53 | 20 |
| 30.98 | 100 |
| 31.30 | 38 |
| 32.42 | 25 |
| 34.34 | 64 |
| 35.44 | 35 |
| 48.17 | 20 |
| 60.84 | 18 |
| 84.05 | 22 |

---

Diffraction record for Ho6In2Pb. The X-ray diffraction stick pattern is theoretical, not measured: it uses a crystal structure in Alexandria, relaxed with PBE and Cu Kα (λ = 1.5418 Å).
No peak broadening, texture or thermal motion is included.

Crystal structure
```
Ho6In2Pb
1.0
6.0668 0.0000 0.0000
0.0000 9.0755 0.0000
-5.2163 0.0000 9.6541
Ho In Pb
12 4 2
Direct
0.0332 0.1638 0.4365 Ho
0.0332 0.3362 0.9365 Ho
0.3712 0.6817 0.4352 Ho
0.3712 0.8183 0.9352 Ho
0.4133 0.0304 0.3101 Ho
0.4133 0.4696 0.8101 Ho
0.5867 0.5304 0.1899 Ho
0.5867 0.9696 0.6899 Ho
0.6288 0.1817 0.0648 Ho
0.6288 0.3183 0.5648 Ho
0.9668 0.6638 0.0635 Ho
0.9668 0.8362 0.5635 Ho
0.1767 0.1281 0.7542 In
0.1767 0.3719 0.2542 In
0.8233 0.6281 0.7458 In
0.8233 0.8719 0.2458 In
0.0000 0.0000 0.0000 Pb
0.0000 0.5000 0.5000 Pb
```

Peak list (10 most intense, 10 to 90 degrees two-theta, low angle first)
| 2θ/deg | I/Imax |
| --- | --- |
| 26.70 | 24 |
| 29.45 | 23 |
| 29.56 | 31 |
| 30.30 | 25 |
| 31.88 | 39 |
| 33.12 | 100 |
| 33.33 | 41 |
| 34.15 | 74 |
| 35.04 | 19 |
| 51.71 | 17 |

---

Diffraction record for PrHoInPb. The X-ray diffraction stick pattern is theoretical, not measured: it uses a crystal structure in Alexandria, relaxed with PBE and Cu Kα (λ = 1.5418 Å).
No peak broadening, texture or thermal motion is included.

Crystal structure
```
PrHoInPb
1.0
5.0437 0.0000 0.0000
0.0000 5.0437 0.0000
0.0000 0.0000 9.0069
Pr Ho In Pb
2 2 2 2
Direct
0.0000 0.0000 0.0000 Pr
0.5000 0.5000 0.5000 Pr
0.0000 0.0000 0.5000 Ho
0.5000 0.5000 0.0000 Ho
0.0000 0.5000 0.7500 In
0.5000 0.0000 0.2500 In
0.0000 0.5000 0.2500 Pb
0.5000 0.0000 0.7500 Pb
```

Peak list (10 most intense, 10 to 90 degrees two-theta, low angle first)
| 2θ/deg | I/Imax |
| --- | --- |
| 32.01 | 100 |
| 35.60 | 38 |
| 40.04 | 14 |
| 51.23 | 13 |
| 54.64 | 22 |
| 61.70 | 31 |
| 66.94 | 12 |
| 67.73 | 12 |
| 84.24 | 7 |
| 89.70 | 12 |

---

Diffraction record for HoIn2PbSe4. The X-ray diffraction stick pattern is theoretical, not measured: it uses a crystal structure in Alexandria, relaxed with PBE and Cu Kα (λ = 1.5418 Å).
No peak broadening, texture or thermal motion is included.

Crystal structure
```
HoIn2PbSe4
1.0
7.5540 0.0000 0.0000
0.0000 4.1698 0.0000
-2.3826 0.0000 7.1926
Ho In Pb Se
1 2 1 4
Direct
0.0000 0.0000 0.0000 Ho
0.5000 0.0000 0.5000 In
0.5000 0.5000 0.0000 In
0.0000 0.5000 0.5000 Pb
0.2260 0.5000 0.2195 Se
0.2448 0.0000 0.7734 Se
0.7552 0.0000 0.2266 Se
0.7740 0.5000 0.7805 Se
```

Peak list (10 most intense, 10 to 90 degrees two-theta, low angle first)
| 2θ/deg | I/Imax |
| --- | --- |
| 24.73 | 12 |
| 25.84 | 13 |
| 29.12 | 51 |
| 29.42 | 100 |
| 40.74 | 19 |
| 41.87 | 75 |
| 43.40 | 18 |
| 53.12 | 19 |
| 61.05 | 13 |
| 78.60 | 12 |